Theoretical PXRD pattern
Compound: Th4CuGe
Radiation: Cu Kα (weighted mean of Kα1 and Kα2)
Structure: a structure optimized by DFT (GGA-PBE)
Peak positions follow from Bragg's law for the DFT cell and can differ from measured ones.

Structure:
abc: 7.411 7.411 5.826
angles: 90.00 90.00 90.00
Space group I422 (No. 97)
Asymmetric unit:
Th 0.160 0.340 0.250 (multiplicity 8)
Cu 0.000 0.000 0.500 (multiplicity 2)
Ge 0.000 0.000 0.000 (multiplicity 2)

Largest 12 diffraction maxima, in order of rising 2θ, 10 to 90 degrees two-theta:
(0 0 2), 2θ = 30.7°, rel. 15.4
(2 1 1), 2θ = 31.0°, rel. 100.0
(1 1 2), 2θ = 35.2°, rel. 12.3
(3 1 0), 2θ = 38.4°, rel. 23.4
(2 0 2), 2θ = 39.3°, rel. 16.1
(4 1 1), 2θ = 53.3°, rel. 16.9
(2 1 3), 2θ = 54.8°, rel. 21.0
(4 0 2), 2θ = 59.1°, rel. 8.8
(3 3 2), 2θ = 61.9°, rel. 16.3
(5 2 1), 2θ = 70.3°, rel. 12.7
(4 1 3), 2θ = 71.5°, rel. 7.2
(5 2 3), 2θ = 86.7°, rel. 7.6

***

Theoretical PXRD pattern
Compound: Th2Cu5Ge3
Radiation: Cu Kα (weighted mean of Kα1 and Kα2)
Structure: a structure optimized by DFT (GGA-PBE)
Peak positions follow from Bragg's law for the DFT cell and can differ from measured ones.

Structure:
abc: 4.295 4.295 9.812
angles: 90.00 90.00 90.00
Space group P-4m2 (No. 115)
Asymmetric unit:
Th 0.000 0.500 0.227 (multiplicity 2)
Cu 0.000 0.000 0.000 (multiplicity 1)
Cu 0.000 0.000 0.500 (multiplicity 1)
Cu 0.000 0.500 0.885 (multiplicity 2)
Cu 0.500 0.500 0.000 (multiplicity 1)
Ge 0.000 0.500 0.647 (multiplicity 2)
Ge 0.500 0.500 0.500 (multiplicity 1)

Largest 12 diffraction maxima, in order of rising 2θ, 10 to 90 degrees two-theta:
(1 0 1), 2θ = 22.6°, rel. 27.4
(1 1 0), 2θ = 29.4°, rel. 29.0
(1 0 3), 2θ = 34.5°, rel. 62.0
(1 1 2), 2θ = 34.7°, rel. 100.0
(2 0 0), 2θ = 42.1°, rel. 56.5
(1 0 4), 2θ = 42.4°, rel. 13.9
(1 0 5), 2θ = 51.2°, rel. 18.4
(2 1 3), 2θ = 55.5°, rel. 32.0
(2 2 0), 2θ = 61.0°, rel. 18.4
(2 1 4), 2θ = 61.3°, rel. 9.4
(2 1 5), 2θ = 68.3°, rel. 16.0
(3 1 2), 2θ = 72.2°, rel. 23.5

***

Theoretical PXRD pattern
Compound: Th2Cu3Ge5
Radiation: Cu Kα (weighted mean of Kα1 and Kα2)
Structure: a structure optimized by DFT (GGA-PBE)
Peak positions follow from Bragg's law for the DFT cell and can differ from measured ones.

Structure:
abc: 11.288 12.709 6.276
angles: 90.00 123.66 90.00
Space group C2/c (No. 15)
Asymmetric unit:
Th 0.250 0.124 0.249 (multiplicity 8)
Cu 0.000 0.498 0.750 (multiplicity 4)
Cu 0.115 0.129 0.612 (multiplicity 8)
Ge 0.000 0.002 0.750 (multiplicity 4)
Ge 0.000 0.251 0.750 (multiplicity 4)
Ge 0.000 0.253 0.250 (multiplicity 4)
Ge 0.135 0.390 0.138 (multiplicity 8)

Largest 12 diffraction maxima, in order of rising 2θ, 10 to 90 degrees two-theta:
(2 2 -1), 2θ = 22.0°, rel. 43.5
(0 4 0), 2θ = 28.1°, rel. 19.6
(2 0 -2), 2θ = 28.4°, rel. 19.9
(2 4 0), 2θ = 34.1°, rel. 71.3
(4 0 -2), 2θ = 34.4°, rel. 70.0
(2 2 1), 2θ = 35.0°, rel. 100.0
(2 4 -2), 2θ = 40.4°, rel. 84.5
(6 2 -1), 2θ = 52.9°, rel. 30.9
(4 6 -1), 2θ = 54.3°, rel. 27.6
(4 0 -4), 2θ = 58.9°, rel. 14.2
(4 8 -2), 2θ = 69.2°, rel. 18.1
(6 4 -4), 2θ = 69.8°, rel. 17.9

***

Theoretical PXRD pattern
Compound: ThCu3Ge
Radiation: Cu Kα (weighted mean of Kα1 and Kα2)
Structure: a structure optimized by DFT (GGA-PBE)
Peak positions follow from Bragg's law for the DFT cell and can differ from measured ones.

Structure:
abc: 4.653 6.090 6.076
angles: 90.00 90.06 90.00
Space group P2_1/m (No. 11)
Asymmetric unit:
Th 0.250 0.250 0.244 (multiplicity 2)
Cu 0.250 0.053 0.749 (multiplicity 4)
Cu 0.250 0.750 0.047 (multiplicity 2)
Ge 0.250 0.750 0.434 (multiplicity 2)

Largest 12 diffraction maxima, in order of rising 2θ, 10 to 90 degrees two-theta:
(0 1 1), 2θ = 20.6°, rel. 12.8
(1 0 1), 2θ = 24.1°, rel. 18.4
(0 2 0), 2θ = 29.4°, rel. 22.8
(1 2 1), 2θ = 38.3°, rel. 100.0
(2 0 0), 2θ = 38.7°, rel. 21.6
(0 1 3), 2θ = 47.3°, rel. 16.8
(2 2 0), 2θ = 49.3°, rel. 11.2
(1 3 -2), 2θ = 58.2°, rel. 9.5
(2 1 -3), 2θ = 62.6°, rel. 10.6
(0 3 3), 2θ = 65.1°, rel. 7.6
(3 2 1), 2θ = 69.8°, rel. 16.9
(2 3 3), 2θ = 78.3°, rel. 8.9

***

What is the formula in the third record?
Th2Cu3Ge5